No. 1
Structure and theoretical powder X-ray diffraction pattern of Pm4AlPt2 (a DFT-relaxed cell (GGA-PBE, Alexandria); Cu Ka).

a b c (Å): 13.517 4.657 7.431
angles (deg): 90.00 120.49 90.00
Fractional positions:
Pm  0.108  0.000  0.337
Pm  0.156  0.500  0.780
Pm  0.344  0.000  0.220
Pm  0.392  0.500  0.663
Pm  0.608  0.500  0.337
Pm  0.656  0.000  0.780
Pm  0.844  0.500  0.220
Pm  0.892  0.000  0.663
Al  0.000  0.500  0.000
Al  0.500  0.000  0.000
Pt  0.212  0.500  0.223
Pt  0.288  0.000  0.777
Pt  0.712  0.000  0.223
Pt  0.788  0.500  0.777

Largest 6 diffraction maxima, by angle, 5° ≤ 2θ ≤ 70°:
2θ (°), d_spacing, I (rel.), h k l
15.21, 5.824, 53, 2 0 0
27.64, 3.227, 100, 3 1 -1
27.87, 3.202, 54, 0 0 2
32.07, 2.791, 48, 3 1 -2
38.67, 2.328, 41, 0 2 0
41.33, 2.185, 36, 3 1 -3

---

No. 2
Structure and theoretical powder X-ray diffraction pattern of Pm5AlPt4 (a DFT-relaxed cell (GGA-PBE, Alexandria); Cu Ka).

a b c (Å): 3.602 3.602 18.107
angles (deg): 90.00 90.00 90.00
Fractional positions:
Pm  0.000  0.000  0.000
Pm  0.000  0.000  0.197
Pm  0.000  0.000  0.392
Pm  0.000  0.000  0.608
Pm  0.000  0.000  0.803
Al  0.500  0.500  0.500
Pt  0.500  0.500  0.099
Pt  0.500  0.500  0.298
Pt  0.500  0.500  0.702
Pt  0.500  0.500  0.901

Largest 6 diffraction maxima, by angle, 5° ≤ 2θ ≤ 70°:
2θ (°), d_spacing, I (rel.), h k l
9.77, 9.053, 5, 0 0 2
35.17, 2.551, 100, 1 1 0
50.40, 1.811, 6, 0 0 10
50.69, 1.801, 12, 2 0 0
62.99, 1.476, 12, 1 1 10
63.18, 1.472, 25, 2 1 5

---

No. 3
Structure and theoretical powder X-ray diffraction pattern of Pm2Al6Pt9 (a DFT-relaxed cell (GGA-PBE, Alexandria); Cu Ka).

a b c (Å): 5.609 5.609 11.824
angles (deg): 90.00 90.00 120.00
Fractional positions:
Pm  0.000  0.000  0.194
Pm  0.000  0.000  0.806
Al  0.333  0.667  0.164
Al  0.333  0.667  0.500
Al  0.333  0.667  0.836
Al  0.667  0.333  0.164
Al  0.667  0.333  0.500
Al  0.667  0.333  0.836
Pt  0.000  0.500  0.000
Pt  0.000  0.500  0.331
Pt  0.000  0.500  0.669
Pt  0.500  0.000  0.000
Pt  0.500  0.000  0.331
Pt  0.500  0.000  0.669
Pt  0.500  0.500  0.000
Pt  0.500  0.500  0.331
Pt  0.500  0.500  0.669

Largest 6 diffraction maxima, by angle, 5° ≤ 2θ ≤ 70°:
2θ (°), d_spacing, I (rel.), h k l
22.56, 3.941, 52, 0 0 3
29.18, 3.061, 56, 1 0 3
37.02, 2.429, 100, 2 0 0
39.44, 2.285, 44, 1 1 3
43.78, 2.068, 80, 2 0 3
60.50, 1.530, 42, 2 0 6

---

No. 4
Structure and theoretical powder X-ray diffraction pattern of Pm3Al2SbPt9 (a DFT-relaxed cell (GGA-PBE, Alexandria); Cu Ka).

a b c (Å): 6.595 6.595 9.060
angles (deg): 90.00 90.00 120.00
Fractional positions:
Pm  0.000  0.000  0.000
Pm  0.333  0.667  0.741
Pm  0.667  0.333  0.259
Al  0.333  0.667  0.180
Al  0.667  0.333  0.820
Sb  0.000  0.000  0.500
Pt  0.000  0.500  0.000
Pt  0.141  0.282  0.268
Pt  0.141  0.859  0.268
Pt  0.282  0.141  0.732
Pt  0.500  0.000  0.000
Pt  0.500  0.500  0.000
Pt  0.718  0.859  0.268
Pt  0.859  0.141  0.732
Pt  0.859  0.718  0.732

Largest 6 diffraction maxima, by angle, 5° ≤ 2θ ≤ 70°:
2θ (°), d_spacing, I (rel.), h k l
9.76, 9.060, 38, 0 0 1
32.88, 2.724, 99, 0 2 1
37.22, 2.416, 100, 2 0 2
39.80, 2.265, 28, 0 0 4
43.62, 2.075, 38, 2 0 3
55.75, 1.649, 27, 2 2 0